KTlS2: computed powder XRD pattern (λ = 1.5418 Å (Cu Kα)), based on the PBE geometry in Alexandria.

Atomic structure:
Lattice parameters (Å, degrees): 7.680 5.262 15.656 90.00 116.56 90.00
Space group P2_1/c (No. 14)
Symmetry-distinct sites (fractional):
K1 0.198 0.190 0.267 (multiplicity 4)
Tl1 0.287 0.130 0.042 (multiplicity 4)
S1 0.094 0.571 0.927 (multiplicity 4)
S2 0.270 0.698 0.386 (multiplicity 4)

Most intense lines, 5° ≤ 2θ ≤ 70°, in order of falling intensity:
- (0 0 2), 12.64 deg, rel. 100
- (1 1 0), 21.27 deg, rel. 47
- (0 1 1), 18.01 deg, rel. 44
- (2 0 0), 25.94 deg, rel. 42
- (2 0 -2), 23.19 deg, rel. 35
- (1 2 -1), 36.08 deg, rel. 33
- (0 1 2), 21.12 deg, rel. 32
- (1 2 -3), 38.59 deg, rel. 29
- (1 1 -4), 28.47 deg, rel. 28
- (0 1 4), 30.67 deg, rel. 28

***

KTlS4: computed powder XRD pattern (λ = 1.5418 Å (Cu Kα)), based on the PBE geometry in Alexandria.

Atomic structure:
Lattice parameters (Å, degrees): 4.668 4.936 7.649 85.15 76.90 88.94
Space group P1 (No. 1)
Symmetry-distinct sites (fractional):
K1 0.000 0.000 0.000 (multiplicity 1)
Tl1 0.083 0.474 0.423 (multiplicity 1)
S1 0.481 0.526 0.755 (multiplicity 1)
S2 0.505 0.497 0.021 (multiplicity 1)
S3 0.563 0.000 0.417 (multiplicity 1)
S4 0.602 0.951 0.679 (multiplicity 1)

Most intense lines, 5° ≤ 2θ ≤ 70°, in order of falling intensity:
- (1 1 1), 26.73 deg, rel. 100
- (0 0 1), 11.92 deg, rel. 83
- (1 1 -1), 31.76 deg, rel. 48
- (-1 1 1), 30.53 deg, rel. 43
- (1 -1 1), 28.07 deg, rel. 42
- (0 0 2), 23.97 deg, rel. 37
- (0 1 0), 18.04 deg, rel. 36
- (0 2 0), 36.54 deg, rel. 34
- (1 0 2), 27.37 deg, rel. 33
- (1 0 1), 20.47 deg, rel. 32

***

KTlWS4: computed powder XRD pattern (λ = 1.5418 Å (Cu Kα)), based on the PBE geometry in Alexandria.

Atomic structure:
Lattice parameters (Å, degrees): 7.060 6.975 9.451 90.00 107.72 90.00
Space group P2_1/m (No. 11)
Symmetry-distinct sites (fractional):
K1 0.217 0.250 0.027 (multiplicity 2)
Tl1 0.268 0.250 0.558 (multiplicity 2)
W1 0.198 0.750 0.785 (multiplicity 2)
S1 0.002 0.003 0.716 (multiplicity 4)
S2 0.334 0.750 0.028 (multiplicity 2)
S3 0.423 0.750 0.666 (multiplicity 2)

Most intense lines, 5° ≤ 2θ ≤ 70°, in order of falling intensity:
- (1 0 1), 18.78 deg, rel. 100
- (1 0 -1), 13.83 deg, rel. 49
- (1 1 2), 29.92 deg, rel. 47
- (1 1 -2), 23.86 deg, rel. 46
- (0 2 0), 25.54 deg, rel. 46
- (2 2 0), 37.14 deg, rel. 37
- (2 1 -2), 30.73 deg, rel. 31
- (0 1 3), 32.48 deg, rel. 30
- (0 1 1), 16.07 deg, rel. 29
- (1 2 1), 31.86 deg, rel. 25

***

K2YTlS4: computed powder XRD pattern (λ = 1.5418 Å (Cu Kα)), based on the PBE geometry in Alexandria.

Atomic structure:
Lattice parameters (Å, degrees): 11.776 12.030 8.299 90.00 134.72 90.00
Space group C2/c (No. 15)
Symmetry-distinct sites (fractional):
K1 0.000 0.000 0.000 (multiplicity 4)
K2 0.250 0.250 0.000 (multiplicity 4)
Y1 0.000 0.500 0.000 (multiplicity 4)
Tl1 0.250 0.250 0.500 (multiplicity 4)
S1 0.001 0.265 0.470 (multiplicity 8)
S2 0.219 0.492 0.469 (multiplicity 8)

Most intense lines, 5° ≤ 2θ ≤ 70°, in order of falling intensity:
- (1 1 -1), 12.95 deg, rel. 100
- (0 0 2), 30.34 deg, rel. 98
- (0 4 2), 42.98 deg, rel. 70
- (0 4 0), 29.70 deg, rel. 53
- (2 2 0), 25.94 deg, rel. 34
- (2 2 -2), 26.09 deg, rel. 34
- (1 1 1), 24.96 deg, rel. 27
- (1 3 -1), 24.65 deg, rel. 18
- (4 4 0), 53.35 deg, rel. 18
- (4 4 -4), 53.67 deg, rel. 17

***

KZrTlS3: computed powder XRD pattern (λ = 1.5418 Å (Cu Kα)), based on the PBE geometry in Alexandria.

Atomic structure:
Lattice parameters (Å, degrees): 7.680 15.158 6.720 90.00 103.66 90.00
Space group C2/c (No. 15)
Symmetry-distinct sites (fractional):
K1 0.000 0.090 0.250 (multiplicity 4)
Zr1 0.000 0.449 0.250 (multiplicity 4)
Tl1 0.000 0.289 0.750 (multiplicity 4)
S1 0.000 0.292 0.250 (multiplicity 4)
S2 0.211 0.456 0.998 (multiplicity 8)

Most intense lines, 5° ≤ 2θ ≤ 70°, in order of falling intensity:
- (2 0 -2), 31.87 deg, rel. 100
- (1 1 0), 13.22 deg, rel. 84
- (1 3 1), 26.79 deg, rel. 84
- (2 0 0), 23.85 deg, rel. 62
- (1 3 -1), 23.69 deg, rel. 49
- (1 1 -1), 16.84 deg, rel. 44
- (0 0 2), 27.32 deg, rel. 42
- (0 4 1), 27.21 deg, rel. 39
- (1 3 -3), 44.33 deg, rel. 37
- (1 5 -2), 40.46 deg, rel. 34

***

K3TmU3S8: computed powder XRD pattern (λ = 1.5418 Å (Cu Kα)), based on the PBE geometry in Alexandria.

Atomic structure:
Lattice parameters (Å, degrees): 8.0149 8.0149 22.5442 90.00 90.00 120.00
Space group R-3m (No. 166, hexagonal axes)
Symmetry-distinct sites (fractional):
K1 0.0000 0.5000 0.0000 (multiplicity 9)
Tm1 0.0000 0.0000 0.5000 (multiplicity 3)
U1 0.0000 0.5000 0.5000 (multiplicity 9)
S1 0.0000 0.0000 0.2343 (multiplicity 6)
S2 0.0030 0.5015 0.2320 (multiplicity 18)

Most intense lines, 5° ≤ 2θ ≤ 70°, in order of falling intensity:
- (0 0 3), 11.78 deg, rel. 100
- (0 2 4), 30.24 deg, rel. 77
- (0 2 1), 25.98 deg, rel. 36
- (2 0 2), 26.88 deg, rel. 34
- (2 0 8), 41.27 deg, rel. 29
- (2 2 0), 45.26 deg, rel. 26
- (0 2 7), 38.12 deg, rel. 23
- (2 2 3), 46.93 deg, rel. 21
- (0 0 6), 23.68 deg, rel. 18
- (2 0 5), 32.56 deg, rel. 15

***

K5US4: computed powder XRD pattern (λ = 1.5418 Å (Cu Kα)), based on the PBE geometry in Alexandria.

Atomic structure:
Lattice parameters (Å, degrees): 18.885 4.277 8.773 90.00 99.55 90.00
Space group C2/m (No. 12)
Symmetry-distinct sites (fractional):
K1 0.000 0.000 0.000 (multiplicity 2)
K2 0.159 0.500 0.817 (multiplicity 4)
K3 0.176 0.500 0.344 (multiplicity 4)
U1 0.000 0.000 0.500 (multiplicity 2)
S1 0.006 0.500 0.292 (multiplicity 4)
S2 0.142 0.000 0.567 (multiplicity 4)

Most intense lines, 5° ≤ 2θ ≤ 70°, in order of falling intensity:
- (0 0 1), 10.22 deg, rel. 100
- (2 0 0), 9.50 deg, rel. 83
- (1 1 -2), 29.19 deg, rel. 72
- (2 0 -1), 12.76 deg, rel. 34
- (6 0 0), 28.76 deg, rel. 34
- (3 1 0), 25.29 deg, rel. 30
- (2 0 2), 24.06 deg, rel. 30
- (5 1 2), 40.42 deg, rel. 23
- (7 1 -2), 42.45 deg, rel. 23
- (1 1 -1), 23.34 deg, rel. 20

***

KU6S8: computed powder XRD pattern (λ = 1.5418 Å (Cu Kα)), based on the PBE geometry in Alexandria.

Atomic structure:
Lattice parameters (Å, degrees): 11.2190 11.2190 12.0271 90.00 90.00 120.00
Space group R-3 (No. 148, hexagonal axes)
Symmetry-distinct sites (fractional):
K1 0.0000 0.0000 0.0000 (multiplicity 3)
U1 0.0441 0.8471 0.4346 (multiplicity 18)
S1 0.0000 0.0000 0.2864 (multiplicity 6)
S2 0.0013 0.3179 0.3828 (multiplicity 18)

Most intense lines, 5° ≤ 2θ ≤ 70°, in order of falling intensity:
- (1 0 1), 11.71 deg, rel. 100
- (1 2 2), 28.48 deg, rel. 27
- (2 2 3), 39.20 deg, rel. 19
- (0 1 2), 17.34 deg, rel. 17
- (1 3 1), 34.10 deg, rel. 14
- (0 3 3), 35.64 deg, rel. 14
- (3 -1 4), 38.70 deg, rel. 13
- (2 1 1), 25.36 deg, rel. 10
- (0 0 6), 45.20 deg, rel. 9
- (4 -1 5), 50.89 deg, rel. 7